This entry pairs a crystal structure of Ca6Al7ClO16 with its calculated PXRD pattern. Radiation: Cu Kα, 1.54184 Å. Structure: a PBE-relaxed structure.

The 6 most intense peaks (5° ≤ 2θ ≤ 70°), by intensity:
2θ = 17.94°, rel. 100
2θ = 33.04°, rel. 83
2θ = 36.35°, rel. 58
2θ = 33.14°, rel. 45
2θ = 29.46°, rel. 34
2θ = 56.86°, rel. 32

Crystal structure
```
60
Lattice="-6.0635 6.0635 6.0392 6.0635 -6.0635 6.0392 6.0635 6.0635 -6.0392" Properties=species:S:1:pos:R:3 pbc="T T T"
Ca 9.0952 1.6248 -1.5098
Ca 0.0000 0.0000 2.7740
Ca 3.0317 4.6820 -1.5098
Ca 1.6248 3.0317 1.5098
Ca 7.4450 3.0317 1.5098
Ca 3.0317 1.3815 4.5294
Ca 0.0000 6.0635 0.2455
Ca -3.0317 4.4387 4.5294
Ca 0.0000 0.0000 9.3043
Ca -1.3815 3.0317 7.5490
Ca 4.4387 3.0317 7.5490
Ca 0.0000 6.0635 5.7936
Al 3.0317 1.5249 -1.5098
Al 3.2396 -0.2127 1.3062
Al 5.8508 3.2396 -1.7134
Al 8.8874 0.2127 1.3062
Al 6.2762 -2.8239 4.7330
Al 6.0635 0.0000 3.0196
Al 4.5386 -3.0317 7.5490
Al 0.0000 0.0000 6.0392
Al 0.2127 2.8239 4.3258
Al 2.8239 -0.2127 7.7525
Al 5.8508 2.8239 4.7330
Al 3.2396 6.2762 1.7134
Al 3.0317 4.5386 4.5294
Al 1.5249 9.0952 1.5098
Cl 0.0000 0.0000 0.0000
Cl 0.0000 6.0635 3.0196
O 3.7025 0.4443 -0.2913
O 6.5078 3.7025 -3.3109
O 4.2203 2.6445 -2.1710
O 4.8445 -0.6744 1.9441
O 3.7690 5.2530 -3.6890
O 6.8740 2.2945 -0.6694
O 1.8432 2.6445 -0.8486
O 7.2825 0.6744 1.9441
O 9.4825 1.8432 0.8486
O 6.7379 -1.2190 4.0951
O 2.2945 0.8105 2.3501
O 5.3891 4.8445 -1.0755
O 5.6192 -2.3610 6.3305
O -0.4443 2.3610 2.7283
O 5.3891 1.2190 4.0951
O 2.2945 5.2530 0.6694
O 0.6744 1.2190 4.9637
O 3.4190 -1.8432 8.2102
O 1.2190 -0.6744 7.1147
O 1.8432 3.4190 3.8682
O 6.8740 3.7690 3.6890
O 3.7690 0.8105 6.7086
O 4.8445 6.7379 1.0755
O 4.2203 3.4190 5.1906
O 0.4443 8.4245 0.2913
O 3.7025 5.6192 3.3109
O -0.8105 3.7690 5.3697
O 2.3610 0.4443 9.3501
O 2.6445 7.9067 2.1710
O -3.4190 4.2203 6.8878
O 2.3610 5.6192 5.7478
O -0.8105 2.2945 9.7282
```

This entry pairs a crystal structure of CaAl2Si2Cl2O8 with its calculated PXRD pattern. Radiation: Cu Kα, 1.54184 Å. Structure: a PBE-relaxed structure.

The 6 most intense peaks (5° ≤ 2θ ≤ 70°), by intensity:
2θ = 9.34°, rel. 100
2θ = 12.49°, rel. 46
2θ = 20.05°, rel. 44
2θ = 25.00°, rel. 28
2θ = 38.63°, rel. 25
2θ = 30.80°, rel. 24

Crystal structure
```
45
Lattice="7.0852 4.0907 4.9626 -7.0852 4.0907 4.9626 0.0000 -8.1813 4.9626" Properties=species:S:1:pos:R:3 pbc="T T T"
Ca 0.0000 0.0000 0.0000
Ca 0.0000 0.0000 3.1963
Ca 0.0000 0.0000 6.9193
Al -1.5536 -5.4916 6.6973
Al -5.5327 1.4004 6.6973
Al 1.5536 -5.4916 6.6973
Al -3.9791 4.0912 6.6973
Al 5.5327 1.4004 6.6973
Al 3.9791 4.0912 6.6973
Si -1.5036 -2.6142 5.0781
Si -3.0158 0.0049 5.0781
Si 1.5036 -2.6142 5.0781
Si -1.5122 2.6093 5.0781
Si 3.0158 0.0049 5.0781
Si 1.5121 2.6093 5.0781
Cl -1.4049 -0.8111 9.2172
Cl 1.4049 -0.8111 9.2172
Cl 0.0000 1.6222 9.2172
Cl 0.0000 -1.5775 12.5098
Cl -1.3662 0.7888 12.5098
Cl 1.3662 0.7888 12.5098
O -1.5709 -2.7850 3.4855
O -3.1974 0.0320 3.4855
O -1.6023 -3.9390 5.9472
O -4.2124 0.5818 5.9472
O -2.5454 -1.4696 5.6490
O 0.0000 -6.4052 6.4599
O -5.5471 3.2026 6.4599
O 1.5709 -2.7850 3.4855
O -1.6264 2.7530 3.4855
O 0.0000 -1.8295 5.3801
O -1.5844 0.9147 5.3801
O -4.4130 -2.5478 10.9725
O 1.6023 -3.9390 5.9472
O -2.6101 3.3572 5.9472
O 3.1974 0.0320 3.4855
O 1.6264 2.7530 3.4855
O 2.5453 -1.4696 5.6490
O 0.0000 2.9391 5.6490
O 1.5844 0.9147 5.3801
O 4.2124 0.5818 5.9472
O 2.6101 3.3572 5.9472
O 4.4130 -2.5478 10.9725
O 0.0000 5.0957 10.9725
O 5.5471 3.2026 6.4599
```